Simulated powder diffractogram
Compound: SrZr4Si
Radiation: a wavelength of 1.5418 Å
Structure: a cell relaxed with GGA-PBE

Main lines, by angle (15 to 90 degrees two-theta):
2θ/deg  I_rel
18.26  31.6
30.04  14.5
35.38  100.0
37.01  56.3
43.00  12.6
56.86  32.6
62.43  29.5
73.85  11.0
74.85  20.1
89.46  21.1

Atomic structure:
Unit cell a=5.950 b=5.950 c=5.950 alpha=60.00 beta=60.00 gamma=60.00
Element x y z (fractional)
Sr (0.000, 0.000, 0.000)
Zr (0.119, 0.627, 0.627)
Zr (0.627, 0.119, 0.627)
Zr (0.627, 0.627, 0.119)
Zr (0.627, 0.627, 0.627)
Si (0.250, 0.250, 0.250)

Simulated powder diffractogram
Compound: Al7Cl6
Radiation: a wavelength of 1.5418 Å
Structure: a cell relaxed with GGA-PBE

Main lines, by angle (15 to 90 degrees two-theta):
2θ/deg  I_rel
25.07  75.6
29.76  48.1
31.58  69.8
32.88  24.7
35.02  33.2
36.71  32.2
38.01  25.4
40.74  100.0
46.23  53.5
65.95  32.3

Atomic structure:
Unit cell a=12.446 b=12.446 c=12.446 alpha=26.31 beta=26.31 gamma=26.31
Element x y z (fractional)
Al (0.000, 0.000, 0.000)
Al (0.083, 0.083, 0.580)
Al (0.083, 0.580, 0.083)
Al (0.420, 0.917, 0.917)
Al (0.580, 0.083, 0.083)
Al (0.917, 0.420, 0.917)
Al (0.917, 0.917, 0.420)
Cl (0.143, 0.143, 0.143)
Cl (0.314, 0.314, 0.314)
Cl (0.419, 0.419, 0.419)
Cl (0.581, 0.581, 0.581)
Cl (0.686, 0.686, 0.686)
Cl (0.857, 0.857, 0.857)

Simulated powder diffractogram
Compound: Sm19Dy4Ho6
Radiation: a wavelength of 1.5418 Å
Structure: a cell relaxed with GGA-PBE

Main lines, by angle (15 to 90 degrees two-theta):
2θ/deg  I_rel
26.52  48.9
28.39  55.2
30.15  100.0
33.43  18.0
34.96  38.9
36.44  71.9
41.89  21.9
53.56  25.0
59.75  27.8
60.74  23.1

Atomic structure:
Unit cell a=10.889 b=10.889 c=10.889 alpha=109.47 beta=109.47 gamma=109.47
Element x y z (fractional)
Sm (0.000, 0.000, 0.000)
Sm (0.000, 0.260, 0.260)
Sm (0.000, 0.740, 0.740)
Sm (0.018, 0.218, 0.676)
Sm (0.200, 0.982, 0.658)
Sm (0.218, 0.676, 0.018)
Sm (0.260, 0.000, 0.260)
Sm (0.260, 0.260, 0.000)
Sm (0.324, 0.543, 0.342)
Sm (0.342, 0.324, 0.543)
Sm (0.457, 0.782, 0.800)
Sm (0.543, 0.342, 0.324)
Sm (0.658, 0.200, 0.982)
Sm (0.676, 0.018, 0.218)
Sm (0.740, 0.000, 0.740)
Sm (0.740, 0.740, 0.000)
Sm (0.782, 0.800, 0.457)
Sm (0.800, 0.457, 0.782)
Sm (0.982, 0.658, 0.200)
Dy (0.000, 0.000, 0.360)
Dy (0.000, 0.360, 0.000)
Dy (0.360, 0.000, 0.000)
Dy (0.640, 0.640, 0.640)
Ho (0.125, 0.500, 0.625)
Ho (0.375, 0.875, 0.500)
Ho (0.500, 0.375, 0.875)
Ho (0.500, 0.625, 0.125)
Ho (0.625, 0.125, 0.500)
Ho (0.875, 0.500, 0.375)

Simulated powder diffractogram
Compound: Tb3DyEr5
Radiation: a wavelength of 1.5418 Å
Structure: a cell relaxed with GGA-PBE

Main lines, by angle (15 to 90 degrees two-theta):
2θ/deg  I_rel
27.56  49.5
30.38  14.4
31.21  54.0
31.50  93.5
35.58  100.0
42.12  31.9
53.84  21.5
55.73  18.8
63.32  19.9
63.55  26.1

Atomic structure:
Unit cell a=7.658 b=7.658 c=11.463 alpha=111.88 beta=111.88 gamma=79.66
Element x y z (fractional)
Tb (0.000, 0.000, 0.000)
Tb (0.000, 0.000, 0.500)
Tb (0.333, 0.334, 0.667)
Tb (0.334, 0.333, 0.167)
Tb (0.666, 0.667, 0.833)
Tb (0.667, 0.666, 0.333)
Dy (0.188, 0.812, 0.750)
Dy (0.812, 0.188, 0.250)
Er (0.143, 0.522, 0.916)
Er (0.146, 0.523, 0.417)
Er (0.191, 0.809, 0.250)
Er (0.477, 0.854, 0.083)
Er (0.478, 0.857, 0.584)
Er (0.522, 0.143, 0.416)
Er (0.523, 0.146, 0.917)
Er (0.809, 0.191, 0.750)
Er (0.854, 0.477, 0.583)
Er (0.857, 0.478, 0.084)

Simulated powder diffractogram
Compound: KLiSO4
Radiation: a wavelength of 1.5418 Å
Structure: a cell relaxed with GGA-PBE

Main lines, by angle (15 to 90 degrees two-theta):
2θ/deg  I_rel
20.18  11.0
22.13  100.0
28.32  81.3
34.40  51.1
40.21  34.5
41.03  17.6
45.14  10.2
54.58  11.4
57.96  12.5
61.62  15.5

Atomic structure:
Unit cell a=5.214 b=5.214 c=8.800 alpha=90.00 beta=90.00 gamma=120.00
Element x y z (fractional)
K (0.000, 0.000, 0.000)
K (0.000, 0.000, 0.500)
Li (0.333, 0.667, 0.313)
Li (0.667, 0.333, 0.813)
S (0.333, 0.667, 0.703)
S (0.667, 0.333, 0.203)
O (0.059, 0.400, 0.758)
O (0.333, 0.667, 0.534)
O (0.340, 0.941, 0.758)
O (0.400, 0.059, 0.258)
O (0.600, 0.660, 0.758)
O (0.660, 0.600, 0.258)
O (0.667, 0.333, 0.034)
O (0.941, 0.340, 0.258)